Cs2CoTcBr6: calculated powder X-ray diffraction pattern (λ = 1.5418 Å (Cu Kα)), based on a PBE-relaxed structure.
Neutral-atom scattering factors, no anomalous dispersion.

Cell and atoms:
a = 7.564 Å, b = 7.564 Å, c = 10.693 Å
α = 90.00°, β = 90.00°, γ = 90.00°
Space group I4/mmm (No. 139)
Asymmetric unit:
Cs 0.000 0.500 0.250 (multiplicity 4)
Co 0.000 0.000 0.000 (multiplicity 2)
Tc 0.000 0.000 0.500 (multiplicity 2)
Br 0.000 0.000 0.248 (multiplicity 4)
Br 0.249 0.249 0.000 (multiplicity 8)

Largest 10 diffraction maxima, sorted by position, 2θ = 10–90°:
- (2 0 0), 2θ = 23.5°, intensity 40
- (2 0 2), 2θ = 28.9°, intensity 82
- (2 2 0), 2θ = 33.5°, intensity 100
- (3 1 2), 2θ = 41.4°, intensity 18
- (4 0 0), 2θ = 48.1°, intensity 70
- (4 2 2), 2θ = 57.1°, intensity 35
- (4 0 4), 2θ = 59.9°, intensity 24
- (6 0 2), 2θ = 77.9°, intensity 14
- (6 2 0), 2θ = 80.3°, intensity 31
- (6 2 4), 2θ = 89.9°, intensity 24